Computed X-ray diffraction stick pattern of Pb2W8C3N3 for a wavelength of 1.5418 Å, from the GGA-PBE geometry in OQMD.
Lines closer than 0.1° are merged.

The 10 most intense peaks (2θ from 15° to 90°), low angle first:
two_theta	I_rel	hkl
32.53	42	0 1 1
35.78	95	1 0 4
37.61	100	0 1 5
38.01	50	0 0 10
39.75	70	1 0 6
57.61	56	1 1 0
64.57	23	1 0 14
68.41	16	0 1 15
70.86	16	2 0 5
71.12	50	1 1 10

Crystal structure
```
data_Pb2W8C3N3
_cell_length_a 3.1998
_cell_length_b 3.1998
_cell_length_c 23.6720
_cell_angle_alpha 90.00
_cell_angle_beta 90.00
_cell_angle_gamma 120.00
_symmetry_space_group_name_H-M 'P -3 m 1'
_symmetry_Int_Tables_number 164
_symmetry_space_group_name_Hall '-P 3 2"'
loop_
_atom_site_label
_atom_site_fract_x
_atom_site_fract_y
_atom_site_fract_z
Pb1 0.3333 0.6667 0.2544
W1 0.0000 0.0000 0.1471
W2 0.0000 0.0000 0.3544
W3 0.3333 0.6667 0.0553
W4 0.3333 0.6667 0.4544
C1 0.0000 0.0000 0.0000
C2 0.3333 0.6667 0.8918
N1 0.0000 0.0000 0.5000
N2 0.3333 0.6667 0.5984
```